# 1
For GePdPt, a crystal structure in OQMD, relaxed with GGA-PBE gives the computed powder XRD pattern in this record (a wavelength of 1.5418 Å).
Peak positions follow from Bragg's law for the DFT cell and can differ from measured ones.

Peak list (12 most intense, 10 to 90 degrees two-theta, sorted by position)
- (1 0 1), d 3.156, I 66
- (1 0 2), d 2.433, I 100
- (1 1 0), d 2.073, I 95
- (1 0 3), d 1.879, I 44
- (2 0 1), d 1.733, I 12
- (2 0 2), d 1.578, I 26
- (2 0 3), d 1.392, I 16
- (1 1 4), d 1.293, I 16
- (2 1 2), d 1.255, I 24
- (1 0 5), d 1.241, I 13
- (3 0 0), d 1.197, I 16
- (2 1 3), d 1.156, I 18

Structural model:
```
data_GePdPt
_cell_length_a 4.1459
_cell_length_b 4.1459
_cell_length_c 6.6148
_cell_angle_alpha 90.00
_cell_angle_beta 90.00
_cell_angle_gamma 120.00
_symmetry_space_group_name_H-M 'P 63 m c'
_symmetry_Int_Tables_number 186
_symmetry_space_group_name_Hall 'P 6c -2c'
loop_
_atom_site_label
_atom_site_type_symbol
_atom_site_fract_x
_atom_site_fract_y
_atom_site_fract_z
_atom_site_occupancy
Ge1 Ge 0.3333 0.6667 0.0000 1
Pd1 Pd 0.0000 0.0000 0.3517 1
Pt1 Pt 0.3333 0.6667 0.6128 1
```



# 2
For Dy2HoCu4Si2Ge2, a crystal structure in OQMD, relaxed with GGA-PBE gives the computed powder XRD pattern in this record (a wavelength of 1.5418 Å).
Peak positions follow from Bragg's law for the DFT cell and can differ from measured ones.

Peak list (12 most intense, 10 to 90 degrees two-theta, sorted by position)
- (0 1 3), d 3.783, I 19
- (1 1 2), d 3.132, I 28
- (0 1 5), d 2.554, I 24
- (1 2 1), d 2.539, I 100
- (1 1 4), d 2.465, I 93
- (0 0 6), d 2.306, I 31
- (2 0 0), d 2.074, I 36
- (0 3 3), d 1.986, I 39
- (1 2 7), d 1.571, I 18
- (2 3 3), d 1.434, I 26
- (3 1 4), d 1.260, I 14
- (1 5 4), d 1.182, I 14

Structural model:
```
data_Dy2HoCu4Si2Ge2
_cell_length_a 4.147
_cell_length_b 6.602
_cell_length_c 13.848
_cell_angle_alpha 90.00
_cell_angle_beta 90.00
_cell_angle_gamma 90.00
_symmetry_space_group_name_H-M 'I m m m'
_symmetry_Int_Tables_number 71
_symmetry_space_group_name_Hall '-I 2 2'
loop_
_atom_site_label
_atom_site_type_symbol
_atom_site_fract_x
_atom_site_fract_y
_atom_site_fract_z
_atom_site_occupancy
Dy1 Dy 0.000 0.000 0.130 1
Ho1 Ho 0.000 0.500 0.000 1
Cu1 Cu 0.000 0.190 0.326 1
Si1 Si 0.000 0.500 0.216 1
Ge1 Ge 0.000 0.307 0.500 1
```



# 3
For ZnTePbO, a crystal structure in OQMD, relaxed with GGA-PBE gives the computed powder XRD pattern in this record (a wavelength of 1.5418 Å).
Peak positions follow from Bragg's law for the DFT cell and can differ from measured ones.

Peak list (12 most intense, 10 to 90 degrees two-theta, sorted by position)
- (0 2 0), d 4.682, I 38
- (1 1 1), d 4.016, I 24
- (2 0 0), d 3.194, I 88
- (0 3 0), d 3.122, I 100
- (0 0 2), d 3.095, I 96
- (2 2 0), d 2.639, I 35
- (0 2 2), d 2.582, I 34
- (2 3 0), d 2.232, I 59
- (2 0 2), d 2.223, I 61
- (0 3 2), d 2.198, I 66
- (2 2 2), d 2.008, I 35
- (2 3 2), d 1.810, I 61

Structural model:
```
data_ZnTePbO
_cell_length_a 6.388
_cell_length_b 9.365
_cell_length_c 6.189
_cell_angle_alpha 90.00
_cell_angle_beta 90.00
_cell_angle_gamma 90.00
_symmetry_space_group_name_H-M 'P c a 21'
_symmetry_Int_Tables_number 29
_symmetry_space_group_name_Hall 'P 2c -2ac'
loop_
_atom_site_label
_atom_site_type_symbol
_atom_site_fract_x
_atom_site_fract_y
_atom_site_fract_z
_atom_site_occupancy
Zn1 Zn 0.112 0.052 0.000 1
Te1 Te 0.018 0.674 0.604 1
Pb1 Pb 0.023 0.316 0.608 1
O1 O 0.110 0.054 0.663 1
```



# 4
For LiZrGaPd, a crystal structure in OQMD, relaxed with GGA-PBE gives the computed powder XRD pattern in this record (a wavelength of 1.5418 Å).
Peak positions follow from Bragg's law for the DFT cell and can differ from measured ones.

Peak list (12 most intense, 10 to 90 degrees two-theta, sorted by position)
- (1 1 1), d 3.726, I 29
- (2 0 0), d 3.227, I 12
- (2 2 0), d 2.282, I 100
- (3 1 1), d 1.946, I 14
- (2 2 2), d 1.863, I 3
- (4 0 0), d 1.613, I 17
- (3 3 1), d 1.481, I 6
- (4 2 0), d 1.443, I 4
- (4 2 2), d 1.317, I 33
- (5 1 1), d 1.242, I 4
- (4 4 0), d 1.141, I 10
- (5 3 1), d 1.091, I 4

Structural model:
```
data_LiZrGaPd
_cell_length_a 6.454
_cell_length_b 6.454
_cell_length_c 6.454
_cell_angle_alpha 90.00
_cell_angle_beta 90.00
_cell_angle_gamma 90.00
_symmetry_space_group_name_H-M 'F -4 3 m'
_symmetry_Int_Tables_number 216
_symmetry_space_group_name_Hall 'F -4 2 3'
loop_
_atom_site_label
_atom_site_type_symbol
_atom_site_fract_x
_atom_site_fract_y
_atom_site_fract_z
_atom_site_occupancy
Li1 Li 0.000 0.000 0.000 1
Zr1 Zr 0.000 0.000 0.500 1
Ga1 Ga 0.250 0.250 0.750 1
Pd1 Pd 0.250 0.250 0.250 1
```



# 5
For SrErO3, a crystal structure in OQMD, relaxed with GGA-PBE gives the computed powder XRD pattern in this record (a wavelength of 1.5418 Å).
Peak positions follow from Bragg's law for the DFT cell and can differ from measured ones.

Peak list (12 most intense, 10 to 90 degrees two-theta, sorted by position)
- (0 0 3), d 5.269, I 20
- (0 1 2), d 4.310, I 24
- (1 0 4), d 3.133, I 97
- (1 1 0), d 2.968, I 100
- (1 1 3), d 2.586, I 21
- (0 2 4), d 2.155, I 41
- (1 1 6), d 1.970, I 39
- (2 1 4), d 1.744, I 41
- (3 0 0), d 1.714, I 30
- (1 0 10), d 1.511, I 20
- (4 -3 4), d 1.341, I 15
- (3 -1 10), d 1.226, I 14

Structural model:
```
data_SrErO3
_cell_length_a 5.9369
_cell_length_b 5.9369
_cell_length_c 15.8074
_cell_angle_alpha 90.00
_cell_angle_beta 90.00
_cell_angle_gamma 120.00
_symmetry_space_group_name_H-M 'R -3'
_symmetry_Int_Tables_number 148
_symmetry_space_group_name_Hall '-R 3'
loop_
_atom_site_label
_atom_site_type_symbol
_atom_site_fract_x
_atom_site_fract_y
_atom_site_fract_z
_atom_site_occupancy
Sr1 Sr 0.0000 0.0000 0.1344 1
Er1 Er 0.0000 0.0000 0.3503 1
O1 O 0.0302 0.3984 0.9226 1
```